(1)
Diffraction record for Nd2TmCuSe5. The powder XRD pattern is simulated, not measured: it uses a DFT-relaxed cell (GGA-PBE, Alexandria) and λ = 1.5418 Å (Cu Kα).
Peak positions follow from Bragg's law for the DFT cell and can differ from measured ones.

Atomic structure:
a b c (Å): 9.047 9.047 12.140
angles (deg): 90.00 90.00 154.05
Fractional positions:
1 Nd 0.109 0.891 0.500
2 Nd 0.123 0.877 0.122
3 Nd 0.877 0.123 0.622
4 Nd 0.891 0.109 0.000
5 Tm 0.193 0.807 0.824
6 Tm 0.807 0.193 0.324
7 Cu 0.435 0.565 0.268
8 Cu 0.565 0.435 0.768
9 Se 0.044 0.956 0.875
10 Se 0.287 0.713 0.485
11 Se 0.311 0.689 0.161
12 Se 0.355 0.645 0.814
13 Se 0.499 0.501 0.594
14 Se 0.501 0.499 0.094
15 Se 0.645 0.355 0.314
16 Se 0.689 0.311 0.661
17 Se 0.713 0.287 0.985
18 Se 0.956 0.044 0.375

Top 10 peaks for 5 to 70 degrees two-theta, in order of rising 2θ:
| two_theta | d/Å | I/Imax |
| --- | --- | --- |
| 24.2 | 3.678 | 21 |
| 26.9 | 3.316 | 13 |
| 31.3 | 2.856 | 42 |
| 31.6 | 2.830 | 100 |
| 36.9 | 2.439 | 64 |
| 40.6 | 2.225 | 13 |
| 42.9 | 2.109 | 17 |
| 43.7 | 2.071 | 14 |
| 44.6 | 2.031 | 28 |
| 55.5 | 1.655 | 17 |

---

(2)
Diffraction record for NdCuSi3. The powder XRD pattern is simulated, not measured: it uses a DFT-relaxed cell (GGA-PBE, Alexandria) and λ = 1.5418 Å (Cu Kα).
Peak positions follow from Bragg's law for the DFT cell and can differ from measured ones.

Atomic structure:
a b c (Å): 10.812 10.812 4.123
angles (deg): 90.00 90.00 158.19
Fractional positions:
1 Nd 0.167 0.833 0.000
2 Nd 0.833 0.167 0.000
3 Cu 0.389 0.611 0.500
4 Cu 0.611 0.389 0.500
5 Si 0.055 0.945 0.500
6 Si 0.279 0.721 0.500
7 Si 0.445 0.555 0.000
8 Si 0.555 0.445 0.000
9 Si 0.721 0.279 0.500
10 Si 0.945 0.055 0.500

Top 10 peaks for 5 to 70 degrees two-theta, in order of rising 2θ:
| two_theta | d/Å | I/Imax |
| --- | --- | --- |
| 8.3 | 10.617 | 14 |
| 16.7 | 5.308 | 20 |
| 25.1 | 3.541 | 17 |
| 30.3 | 2.946 | 13 |
| 31.1 | 2.877 | 10 |
| 33.4 | 2.686 | 100 |
| 43.9 | 2.061 | 15 |
| 44.3 | 2.045 | 34 |
| 56.6 | 1.627 | 19 |
| 64.2 | 1.452 | 22 |

---

(3)
Diffraction record for Nd2SmCu2Si2. The powder XRD pattern is simulated, not measured: it uses a DFT-relaxed cell (GGA-PBE, Alexandria) and λ = 1.5418 Å (Cu Kα).
Peak positions follow from Bragg's law for the DFT cell and can differ from measured ones.

Atomic structure:
a b c (Å): 11.413 11.413 11.413
angles (deg): 20.81 20.81 20.81
Fractional positions:
1 Nd 0.119 0.119 0.119
2 Nd 0.881 0.881 0.881
3 Sm 0.000 0.000 0.000
4 Cu 0.394 0.394 0.394
5 Cu 0.606 0.606 0.606
6 Si 0.273 0.273 0.273
7 Si 0.727 0.727 0.727

Top 10 peaks for 5 to 70 degrees two-theta, in order of rising 2θ:
| two_theta | d/Å | I/Imax |
| --- | --- | --- |
| 25.1 | 3.551 | 42 |
| 27.1 | 3.285 | 26 |
| 31.3 | 2.861 | 51 |
| 33.0 | 2.717 | 100 |
| 36.8 | 2.443 | 37 |
| 43.9 | 2.062 | 64 |
| 50.6 | 1.804 | 21 |
| 56.0 | 1.642 | 22 |
| 61.2 | 1.515 | 17 |
| 67.9 | 1.381 | 21 |

---

(4)
Diffraction record for NdThCu2Si2. The powder XRD pattern is simulated, not measured: it uses a DFT-relaxed cell (GGA-PBE, Alexandria) and λ = 1.5418 Å (Cu Kα).
Peak positions follow from Bragg's law for the DFT cell and can differ from measured ones.

Atomic structure:
a b c (Å): 4.159 4.159 8.156
angles (deg): 90.00 90.00 120.00
Fractional positions:
1 Nd 0.000 0.000 0.000
2 Th 0.000 0.000 0.500
3 Cu 0.333 0.667 0.745
4 Cu 0.667 0.333 0.255
5 Si 0.333 0.667 0.252
6 Si 0.667 0.333 0.748

Top 10 peaks for 5 to 70 degrees two-theta, in order of rising 2θ:
| two_theta | d/Å | I/Imax |
| --- | --- | --- |
| 10.8 | 8.156 | 7 |
| 21.8 | 4.078 | 6 |
| 24.7 | 3.602 | 35 |
| 27.1 | 3.295 | 8 |
| 33.2 | 2.700 | 100 |
| 43.5 | 2.080 | 35 |
| 44.4 | 2.039 | 11 |
| 51.5 | 1.775 | 10 |
| 55.8 | 1.648 | 23 |
| 63.9 | 1.456 | 22 |

---

(5)
Diffraction record for Nd2SmCu3. The powder XRD pattern is simulated, not measured: it uses a DFT-relaxed cell (GGA-PBE, Alexandria) and λ = 1.5418 Å (Cu Kα).
Peak positions follow from Bragg's law for the DFT cell and can differ from measured ones.

Atomic structure:
a b c (Å): 7.971 7.971 7.227
angles (deg): 90.00 90.00 143.14
Fractional positions:
1 Nd 0.000 0.000 0.000
2 Nd 0.000 0.000 0.500
3 Nd 0.334 0.666 0.000
4 Nd 0.666 0.334 0.000
5 Sm 0.333 0.667 0.500
6 Sm 0.667 0.333 0.500
7 Cu 0.169 0.831 0.256
8 Cu 0.169 0.831 0.744
9 Cu 0.500 0.500 0.255
10 Cu 0.500 0.500 0.745
11 Cu 0.831 0.169 0.256
12 Cu 0.831 0.169 0.744

Top 10 peaks for 5 to 70 degrees two-theta, in order of rising 2θ:
| two_theta | d/Å | I/Imax |
| --- | --- | --- |
| 24.6 | 3.614 | 8 |
| 25.0 | 3.564 | 15 |
| 35.4 | 2.538 | 100 |
| 35.6 | 2.520 | 49 |
| 43.8 | 2.067 | 7 |
| 50.5 | 1.807 | 9 |
| 51.3 | 1.782 | 17 |
| 57.2 | 1.612 | 3 |
| 63.3 | 1.468 | 18 |
| 63.8 | 1.458 | 35 |

---

(6)
Diffraction record for NdSmCu4. The powder XRD pattern is simulated, not measured: it uses a DFT-relaxed cell (GGA-PBE, Alexandria) and λ = 1.5418 Å (Cu Kα).
Peak positions follow from Bragg's law for the DFT cell and can differ from measured ones.

Atomic structure:
a b c (Å): 4.337 7.114 7.448
angles (deg): 90.00 90.00 90.00
Fractional positions:
1 Nd 0.000 0.000 0.000
2 Nd 0.500 0.500 0.500
3 Sm 0.000 0.500 0.070
4 Sm 0.500 0.000 0.570
5 Cu 0.000 0.204 0.371
6 Cu 0.000 0.293 0.702
7 Cu 0.000 0.707 0.702
8 Cu 0.000 0.796 0.371
9 Cu 0.500 0.207 0.202
10 Cu 0.500 0.296 0.871
11 Cu 0.500 0.704 0.871
12 Cu 0.500 0.793 0.202

Top 10 peaks for 5 to 70 degrees two-theta, in order of rising 2θ:
| two_theta | d/Å | I/Imax |
| --- | --- | --- |
| 23.7 | 3.748 | 17 |
| 34.1 | 2.626 | 24 |
| 34.8 | 2.580 | 100 |
| 34.9 | 2.572 | 43 |
| 39.9 | 2.260 | 12 |
| 41.6 | 2.169 | 30 |
| 41.9 | 2.155 | 46 |
| 55.4 | 1.658 | 23 |
| 57.4 | 1.606 | 11 |
| 67.5 | 1.388 | 13 |

---

(7)
Diffraction record for Nd2Cu2Sn3. The powder XRD pattern is simulated, not measured: it uses a DFT-relaxed cell (GGA-PBE, Alexandria) and λ = 1.5418 Å (Cu Kα).
Peak positions follow from Bragg's law for the DFT cell and can differ from measured ones.

Atomic structure:
a b c (Å): 10.773 4.304 7.545
angles (deg): 90.00 110.77 90.00
Fractional positions:
1 Nd 0.148 0.000 0.294
2 Nd 0.352 0.500 0.706
3 Nd 0.648 0.500 0.294
4 Nd 0.852 0.000 0.706
5 Cu 0.154 0.000 0.745
6 Cu 0.346 0.500 0.255
7 Cu 0.654 0.500 0.745
8 Cu 0.846 0.000 0.255
9 Sn 0.000 0.500 0.500
10 Sn 0.119 0.500 0.947
11 Sn 0.381 0.000 0.053
12 Sn 0.500 0.000 0.500
13 Sn 0.619 0.000 0.947
14 Sn 0.881 0.500 0.053

Top 10 peaks for 5 to 70 degrees two-theta, in order of rising 2θ:
| two_theta | d/Å | I/Imax |
| --- | --- | --- |
| 27.3 | 3.263 | 38 |
| 31.5 | 2.837 | 100 |
| 32.6 | 2.744 | 80 |
| 33.9 | 2.647 | 47 |
| 35.7 | 2.517 | 44 |
| 35.9 | 2.500 | 69 |
| 36.3 | 2.476 | 51 |
| 36.4 | 2.468 | 62 |
| 42.0 | 2.152 | 58 |
| 56.4 | 1.631 | 38 |

---

(8)
Diffraction record for Nd2Cu3Sn5. The powder XRD pattern is simulated, not measured: it uses a DFT-relaxed cell (GGA-PBE, Alexandria) and λ = 1.5418 Å (Cu Kα).
Peak positions follow from Bragg's law for the DFT cell and can differ from measured ones.

Atomic structure:
a b c (Å): 12.618 12.618 8.242
angles (deg): 90.00 90.00 159.17
Fractional positions:
1 Nd 0.035 0.965 0.500
2 Nd 0.328 0.672 0.468
3 Nd 0.672 0.328 0.968
4 Nd 0.965 0.035 0.000
5 Cu 0.092 0.908 0.838
6 Cu 0.261 0.739 0.833
7 Cu 0.456 0.544 0.639
8 Cu 0.544 0.456 0.139
9 Cu 0.739 0.261 0.333
10 Cu 0.908 0.092 0.338
11 Sn 0.098 0.902 0.152
12 Sn 0.171 0.829 0.635
13 Sn 0.241 0.759 0.160
14 Sn 0.367 0.633 0.886
15 Sn 0.457 0.543 0.306
16 Sn 0.543 0.457 0.806
17 Sn 0.633 0.367 0.386
18 Sn 0.759 0.241 0.660
19 Sn 0.829 0.171 0.135
20 Sn 0.902 0.098 0.652

Top 10 peaks for 5 to 70 degrees two-theta, in order of rising 2θ:
| two_theta | d/Å | I/Imax |
| --- | --- | --- |
| 28.7 | 3.111 | 15 |
| 29.4 | 3.035 | 20 |
| 30.6 | 2.920 | 15 |
| 31.2 | 2.868 | 66 |
| 33.8 | 2.651 | 100 |
| 35.7 | 2.512 | 39 |
| 38.4 | 2.343 | 20 |
| 39.5 | 2.281 | 45 |
| 54.3 | 1.689 | 23 |
| 68.0 | 1.378 | 13 |

---

(9)
Diffraction record for NdCu9Sn2. The powder XRD pattern is simulated, not measured: it uses a DFT-relaxed cell (GGA-PBE, Alexandria) and λ = 1.5418 Å (Cu Kα).
Peak positions follow from Bragg's law for the DFT cell and can differ from measured ones.

Atomic structure:
a b c (Å): 8.534 8.534 5.024
angles (deg): 90.00 90.00 90.00
Fractional positions:
1 Nd 0.000 0.000 0.000
2 Nd 0.500 0.500 0.000
3 Cu 0.000 0.500 0.500
4 Cu 0.066 0.205 0.500
5 Cu 0.172 0.672 0.247
6 Cu 0.172 0.672 0.753
7 Cu 0.205 0.934 0.500
8 Cu 0.295 0.434 0.500
9 Cu 0.328 0.172 0.247
10 Cu 0.328 0.172 0.753
11 Cu 0.434 0.705 0.500
12 Cu 0.500 0.000 0.500
13 Cu 0.566 0.295 0.500
14 Cu 0.672 0.828 0.247
15 Cu 0.672 0.828 0.753
16 Cu 0.705 0.566 0.500
17 Cu 0.795 0.066 0.500
18 Cu 0.828 0.328 0.247
19 Cu 0.828 0.328 0.753
20 Cu 0.934 0.795 0.500
21 Sn 0.129 0.371 0.000
22 Sn 0.371 0.871 0.000
23 Sn 0.629 0.129 0.000
24 Sn 0.871 0.629 0.000

Top 10 peaks for 5 to 70 degrees two-theta, in order of rising 2θ:
| two_theta | d/Å | I/Imax |
| --- | --- | --- |
| 33.2 | 2.699 | 24 |
| 34.7 | 2.587 | 19 |
| 35.7 | 2.512 | 17 |
| 37.8 | 2.377 | 100 |
| 41.7 | 2.165 | 23 |
| 42.2 | 2.141 | 35 |
| 43.1 | 2.098 | 75 |
| 43.7 | 2.070 | 27 |
| 47.7 | 1.908 | 16 |
| 65.6 | 1.423 | 23 |

---

(10)
Diffraction record for SrNdTlCu. The powder XRD pattern is simulated, not measured: it uses a DFT-relaxed cell (GGA-PBE, Alexandria) and λ = 1.5418 Å (Cu Kα).
Peak positions follow from Bragg's law for the DFT cell and can differ from measured ones.

Atomic structure:
a b c (Å): 7.707 7.707 7.707
angles (deg): 90.00 90.00 90.00
Fractional positions:
1 Sr 0.000 0.000 0.000
2 Sr 0.000 0.500 0.500
3 Sr 0.500 0.000 0.500
4 Sr 0.500 0.500 0.000
5 Nd 0.000 0.000 0.500
6 Nd 0.000 0.500 0.000
7 Nd 0.500 0.000 0.000
8 Nd 0.500 0.500 0.500
9 Tl 0.250 0.250 0.250
10 Tl 0.250 0.750 0.750
11 Tl 0.750 0.250 0.750
12 Tl 0.750 0.750 0.250
13 Cu 0.250 0.250 0.750
14 Cu 0.250 0.750 0.250
15 Cu 0.750 0.250 0.250
16 Cu 0.750 0.750 0.750

Top 9 peaks for 5 to 70 degrees two-theta, in order of rising 2θ:
| two_theta | d/Å | I/Imax |
| --- | --- | --- |
| 20.0 | 4.449 | 18 |
| 23.1 | 3.853 | 1 |
| 32.9 | 2.725 | 100 |
| 38.8 | 2.324 | 10 |
| 47.2 | 1.927 | 18 |
| 51.7 | 1.768 | 5 |
| 58.7 | 1.573 | 38 |
| 62.6 | 1.483 | 4 |
| 68.9 | 1.362 | 12 |

---

(11)
Diffraction record for Tb2NdCu2. The powder XRD pattern is simulated, not measured: it uses a DFT-relaxed cell (GGA-PBE, Alexandria) and λ = 1.5418 Å (Cu Kα).
Peak positions follow from Bragg's law for the DFT cell and can differ from measured ones.

Atomic structure:
a b c (Å): 5.002 4.684 10.841
angles (deg): 90.00 96.90 90.00
Fractional positions:
1 Tb 0.155 0.250 0.115
2 Tb 0.251 0.750 0.506
3 Tb 0.749 0.250 0.494
4 Tb 0.845 0.750 0.885
5 Nd 0.308 0.250 0.756
6 Nd 0.692 0.750 0.244
7 Cu 0.215 0.250 0.366
8 Cu 0.377 0.750 0.995
9 Cu 0.623 0.250 0.005
10 Cu 0.785 0.750 0.634

Top 10 peaks for 5 to 70 degrees two-theta, in order of rising 2θ:
| two_theta | d/Å | I/Imax |
| --- | --- | --- |
| 28.1 | 3.174 | 58 |
| 29.9 | 2.992 | 100 |
| 31.4 | 2.848 | 61 |
| 32.2 | 2.777 | 33 |
| 32.5 | 2.755 | 28 |
| 36.2 | 2.484 | 52 |
| 38.4 | 2.342 | 55 |
| 41.0 | 2.202 | 20 |
| 43.8 | 2.068 | 18 |
| 53.8 | 1.705 | 17 |

---

(12)
Diffraction record for Tb2NdCu6. The powder XRD pattern is simulated, not measured: it uses a DFT-relaxed cell (GGA-PBE, Alexandria) and λ = 1.5418 Å (Cu Kα).
Peak positions follow from Bragg's law for the DFT cell and can differ from measured ones.

Atomic structure:
a b c (Å): 7.365 7.365 3.642
angles (deg): 90.00 90.00 120.00
Fractional positions:
1 Tb 0.333 0.667 0.000
2 Tb 0.667 0.333 0.000
3 Nd 0.000 0.000 0.000
4 Cu 0.000 0.335 0.500
5 Cu 0.000 0.665 0.500
6 Cu 0.335 0.000 0.500
7 Cu 0.335 0.335 0.500
8 Cu 0.665 0.000 0.500
9 Cu 0.665 0.665 0.500

Top 9 peaks for 5 to 70 degrees two-theta, in order of rising 2θ:
| two_theta | d/Å | I/Imax |
| --- | --- | --- |
| 24.2 | 3.683 | 18 |
| 34.6 | 2.590 | 100 |
| 42.5 | 2.126 | 48 |
| 49.5 | 1.841 | 3 |
| 50.1 | 1.821 | 10 |
| 56.0 | 1.643 | 25 |
| 56.4 | 1.632 | 4 |
| 67.3 | 1.392 | 2 |
| 67.7 | 1.383 | 23 |

---

(13)
Diffraction record for Tb2NdCu9. The powder XRD pattern is simulated, not measured: it uses a DFT-relaxed cell (GGA-PBE, Alexandria) and λ = 1.5418 Å (Cu Kα).
Peak positions follow from Bragg's law for the DFT cell and can differ from measured ones.

Atomic structure:
a b c (Å): 8.827 8.827 8.827
angles (deg): 34.41 34.41 34.41
Fractional positions:
1 Tb 0.143 0.143 0.143
2 Tb 0.857 0.857 0.857
3 Nd 0.000 0.000 0.000
4 Cu 0.084 0.581 0.581
5 Cu 0.332 0.332 0.332
6 Cu 0.419 0.419 0.916
7 Cu 0.419 0.916 0.419
8 Cu 0.500 0.500 0.500
9 Cu 0.581 0.084 0.581
10 Cu 0.581 0.581 0.084
11 Cu 0.668 0.668 0.668
12 Cu 0.916 0.419 0.419

Top 10 peaks for 5 to 70 degrees two-theta, in order of rising 2θ:
| two_theta | d/Å | I/Imax |
| --- | --- | --- |
| 32.0 | 2.795 | 41 |
| 34.3 | 2.611 | 47 |
| 35.0 | 2.563 | 25 |
| 40.0 | 2.252 | 35 |
| 40.8 | 2.210 | 100 |
| 43.6 | 2.074 | 14 |
| 44.0 | 2.059 | 14 |
| 44.8 | 2.023 | 13 |
| 60.1 | 1.540 | 14 |
| 65.9 | 1.417 | 23 |